# 1
CaBi2O4: theoretical powder diffractogram (λ = 1.5418 Å (Cu Kα)), based on a PBE-relaxed structure.
Intensities are scaled so that the largest is 100.

Most intense lines, 10 to 80 degrees two-theta, in order of rising 2θ:
| 2θ (°) | I_rel |
| --- | --- |
| 15.35 | 61.7 |
| 29.64 | 100.0 |
| 30.99 | 51.5 |
| 35.93 | 36.9 |
| 39.28 | 16.9 |
| 47.25 | 39.7 |
| 51.73 | 47.2 |
| 54.29 | 15.1 |
| 61.53 | 25.4 |
| 72.65 | 23.5 |

Crystal structure
Unit cell a=7.070 b=7.070 c=17.310 alpha=90.00 beta=90.00 gamma=120.00
Element x y z (fractional)
Ca (0.000, 0.000, 0.000)
Ca (0.000, 0.000, 0.247)
Ca (0.333, 0.667, 0.583)
Ca (0.667, 0.333, 0.290)
Ca (0.667, 0.333, 0.667)
Ca (0.667, 0.333, 0.917)
Bi (0.000, 0.000, 0.627)
Bi (0.167, 0.335, 0.793)
Bi (0.167, 0.833, 0.793)
Bi (0.332, 0.166, 0.459)
Bi (0.333, 0.667, 0.336)
Bi (0.333, 0.667, 0.962)
Bi (0.503, 0.006, 0.127)
Bi (0.503, 0.497, 0.127)
Bi (0.665, 0.833, 0.793)
Bi (0.834, 0.166, 0.459)
Bi (0.834, 0.668, 0.459)
Bi (0.994, 0.497, 0.127)
O (0.000, 0.000, 0.382)
O (0.000, 0.000, 0.867)
O (0.017, 0.509, 0.870)
O (0.157, 0.313, 0.536)
O (0.157, 0.843, 0.536)
O (0.178, 0.356, 0.042)
O (0.178, 0.822, 0.042)
O (0.310, 0.155, 0.709)
O (0.333, 0.667, 0.207)
O (0.333, 0.667, 0.716)
O (0.360, 0.180, 0.204)
O (0.491, 0.509, 0.870)
O (0.491, 0.983, 0.870)
O (0.512, 0.023, 0.376)
O (0.512, 0.488, 0.376)
O (0.644, 0.822, 0.042)
O (0.667, 0.333, 0.052)
O (0.667, 0.333, 0.534)
O (0.687, 0.843, 0.536)
O (0.820, 0.180, 0.204)
O (0.820, 0.640, 0.204)
O (0.845, 0.155, 0.709)
O (0.845, 0.690, 0.709)
O (0.977, 0.488, 0.376)

# 2
CaBi2O4: theoretical powder diffractogram (λ = 1.5418 Å (Cu Kα)), based on a PBE-relaxed structure.
Intensities are scaled so that the largest is 100.

Most intense lines, 10 to 80 degrees two-theta, in order of rising 2θ:
| 2θ (°) | I_rel |
| --- | --- |
| 16.56 | 38.0 |
| 17.30 | 33.9 |
| 28.45 | 46.1 |
| 29.77 | 84.3 |
| 31.07 | 100.0 |
| 31.48 | 45.4 |
| 42.94 | 44.9 |
| 44.18 | 29.1 |
| 53.39 | 26.1 |
| 61.85 | 24.1 |

Crystal structure
Unit cell a=10.253 b=3.414 c=12.550 alpha=90.00 beta=90.00 gamma=90.00
Element x y z (fractional)
Ca (0.240, 0.250, 0.151)
Ca (0.260, 0.750, 0.651)
Ca (0.740, 0.250, 0.349)
Ca (0.760, 0.750, 0.849)
Bi (0.071, 0.250, 0.379)
Bi (0.084, 0.250, 0.891)
Bi (0.416, 0.750, 0.391)
Bi (0.429, 0.750, 0.879)
Bi (0.571, 0.250, 0.121)
Bi (0.584, 0.250, 0.609)
Bi (0.916, 0.750, 0.109)
Bi (0.929, 0.750, 0.621)
O (0.017, 0.750, 0.784)
O (0.082, 0.250, 0.593)
O (0.128, 0.750, 0.041)
O (0.208, 0.750, 0.291)
O (0.292, 0.250, 0.791)
O (0.372, 0.250, 0.541)
O (0.418, 0.750, 0.093)
O (0.483, 0.250, 0.284)
O (0.517, 0.750, 0.716)
O (0.582, 0.250, 0.907)
O (0.628, 0.750, 0.459)
O (0.708, 0.750, 0.209)
O (0.792, 0.250, 0.709)
O (0.872, 0.250, 0.959)
O (0.918, 0.750, 0.407)
O (0.983, 0.250, 0.216)

# 3
CaBi2O5: theoretical powder diffractogram (λ = 1.5418 Å (Cu Kα)), based on a PBE-relaxed structure.
Intensities are scaled so that the largest is 100.

Most intense lines, 10 to 80 degrees two-theta, in order of rising 2θ:
| 2θ (°) | I_rel |
| --- | --- |
| 16.51 | 100.0 |
| 23.34 | 49.8 |
| 25.62 | 39.0 |
| 26.05 | 40.7 |
| 27.96 | 42.7 |
| 28.72 | 47.6 |
| 29.84 | 67.4 |
| 30.99 | 41.1 |
| 48.87 | 51.3 |
| 55.10 | 38.4 |

Crystal structure
Unit cell a=3.968 b=13.684 c=5.371 alpha=90.00 beta=90.00 gamma=90.00
Element x y z (fractional)
Ca (0.250, 0.250, 0.126)
Ca (0.750, 0.750, 0.874)
Bi (0.250, 0.606, 0.405)
Bi (0.250, 0.894, 0.405)
Bi (0.750, 0.106, 0.595)
Bi (0.750, 0.394, 0.595)
O (0.250, 0.081, 0.432)
O (0.250, 0.419, 0.432)
O (0.250, 0.649, 0.040)
O (0.250, 0.750, 0.580)
O (0.250, 0.851, 0.040)
O (0.750, 0.149, 0.960)
O (0.750, 0.250, 0.420)
O (0.750, 0.351, 0.960)
O (0.750, 0.581, 0.568)
O (0.750, 0.919, 0.568)

# 4
CaBi2O4: theoretical powder diffractogram (λ = 1.5418 Å (Cu Kα)), based on a PBE-relaxed structure.
Intensities are scaled so that the largest is 100.

Most intense lines, 10 to 80 degrees two-theta, in order of rising 2θ:
| 2θ (°) | I_rel |
| --- | --- |
| 14.40 | 18.2 |
| 22.92 | 60.0 |
| 26.25 | 22.9 |
| 26.81 | 37.3 |
| 27.63 | 100.0 |
| 29.04 | 42.9 |
| 31.88 | 25.9 |
| 32.35 | 35.9 |
| 34.97 | 18.6 |
| 47.49 | 21.4 |

Crystal structure
Unit cell a=10.369 b=10.369 c=12.543 alpha=118.08 beta=118.08 gamma=69.64
Element x y z (fractional)
Ca (0.008, 0.582, 0.663)
Ca (0.052, 0.853, 0.581)
Ca (0.147, 0.948, 0.919)
Ca (0.418, 0.992, 0.837)
Ca (0.582, 0.008, 0.163)
Ca (0.853, 0.052, 0.081)
Ca (0.948, 0.147, 0.419)
Ca (0.992, 0.418, 0.337)
Bi (0.052, 0.243, 0.766)
Bi (0.175, 0.654, 0.007)
Bi (0.243, 0.052, 0.266)
Bi (0.269, 0.351, 0.218)
Bi (0.344, 0.531, 0.561)
Bi (0.346, 0.825, 0.493)
Bi (0.351, 0.269, 0.718)
Bi (0.469, 0.656, 0.939)
Bi (0.531, 0.344, 0.061)
Bi (0.649, 0.731, 0.282)
Bi (0.654, 0.175, 0.507)
Bi (0.656, 0.469, 0.439)
Bi (0.731, 0.649, 0.782)
Bi (0.757, 0.948, 0.734)
Bi (0.825, 0.346, 0.993)
Bi (0.948, 0.757, 0.234)
O (0.038, 0.164, 0.284)
O (0.038, 0.420, 0.166)
O (0.105, 0.889, 0.075)
O (0.110, 0.264, 0.633)
O (0.111, 0.895, 0.425)
O (0.124, 0.583, 0.543)
O (0.164, 0.038, 0.784)
O (0.219, 0.653, 0.858)
O (0.264, 0.110, 0.133)
O (0.291, 0.310, 0.380)
O (0.310, 0.291, 0.880)
O (0.323, 0.573, 0.399)
O (0.347, 0.781, 0.642)
O (0.417, 0.876, 0.957)
O (0.420, 0.038, 0.666)
O (0.427, 0.677, 0.101)
O (0.573, 0.323, 0.899)
O (0.580, 0.962, 0.334)
O (0.583, 0.124, 0.043)
O (0.653, 0.219, 0.358)
O (0.677, 0.427, 0.601)
O (0.690, 0.709, 0.120)
O (0.709, 0.690, 0.620)
O (0.736, 0.890, 0.867)
O (0.781, 0.347, 0.142)
O (0.836, 0.962, 0.216)
O (0.876, 0.417, 0.457)
O (0.889, 0.105, 0.575)
O (0.890, 0.736, 0.367)
O (0.895, 0.111, 0.925)
O (0.962, 0.580, 0.834)
O (0.962, 0.836, 0.716)

# 5
CaBi2O4: theoretical powder diffractogram (λ = 1.5418 Å (Cu Kα)), based on a PBE-relaxed structure.
Intensities are scaled so that the largest is 100.

Most intense lines, 10 to 80 degrees two-theta, in order of rising 2θ:
| 2θ (°) | I_rel |
| --- | --- |
| 15.35 | 90.2 |
| 29.64 | 100.0 |
| 30.99 | 64.0 |
| 35.94 | 52.3 |
| 39.29 | 24.9 |
| 47.25 | 39.6 |
| 51.73 | 51.1 |
| 54.29 | 23.2 |
| 61.54 | 32.0 |
| 72.65 | 23.5 |

Crystal structure
Unit cell a=7.068 b=7.068 c=7.068 alpha=60.00 beta=60.00 gamma=60.00
Element x y z (fractional)
Ca (0.125, 0.125, 0.125)
Ca (0.875, 0.875, 0.875)
Bi (0.000, 0.500, 0.500)
Bi (0.500, 0.000, 0.500)
Bi (0.500, 0.500, 0.000)
Bi (0.500, 0.500, 0.500)
O (0.258, 0.258, 0.258)
O (0.258, 0.258, 0.726)
O (0.258, 0.726, 0.258)
O (0.274, 0.742, 0.742)
O (0.726, 0.258, 0.258)
O (0.742, 0.274, 0.742)
O (0.742, 0.742, 0.274)
O (0.742, 0.742, 0.742)

# 6
CaBi2P2O10: theoretical powder diffractogram (λ = 1.5418 Å (Cu Kα)), based on a PBE-relaxed structure.
Intensities are scaled so that the largest is 100.

Most intense lines, 10 to 80 degrees two-theta, in order of rising 2θ:
| 2θ (°) | I_rel |
| --- | --- |
| 13.98 | 81.1 |
| 20.74 | 40.9 |
| 21.62 | 37.5 |
| 23.86 | 57.8 |
| 28.18 | 100.0 |
| 28.44 | 42.2 |
| 30.13 | 46.5 |
| 39.83 | 22.5 |
| 42.20 | 35.3 |
| 48.85 | 28.8 |

Crystal structure
Unit cell a=9.158 b=7.671 c=10.497 alpha=58.08 beta=45.31 gamma=76.61
Element x y z (fractional)
Ca (0.000, 0.000, 0.000)
Ca (0.250, 0.250, 0.250)
Bi (0.146, 0.627, 0.612)
Bi (0.627, 0.146, 0.615)
Bi (0.635, 0.638, 0.623)
Bi (0.638, 0.635, 0.104)
P (0.061, 0.458, 0.042)
P (0.208, 0.811, 0.189)
P (0.458, 0.061, 0.439)
P (0.811, 0.208, 0.792)
O (0.004, 0.307, 0.721)
O (0.073, 0.383, 0.923)
O (0.203, 0.882, 0.307)
O (0.267, 0.952, 0.513)
O (0.282, 0.529, 0.943)
O (0.307, 0.004, 0.968)
O (0.327, 0.629, 0.177)
O (0.383, 0.073, 0.621)
O (0.447, 0.577, 0.406)
O (0.529, 0.282, 0.246)
O (0.577, 0.447, 0.570)
O (0.629, 0.327, 0.867)
O (0.642, 0.943, 0.368)
O (0.680, 0.844, 0.673)
O (0.737, 0.982, 0.983)
O (0.844, 0.680, 0.803)
O (0.882, 0.203, 0.608)
O (0.943, 0.642, 0.047)
O (0.952, 0.267, 0.268)
O (0.982, 0.737, 0.298)

# 7
Ca2Bi3P3O12: theoretical powder diffractogram (λ = 1.5418 Å (Cu Kα)), based on a PBE-relaxed structure.
Intensities are scaled so that the largest is 100.

Most intense lines, 10 to 80 degrees two-theta, in order of rising 2θ:
| 2θ (°) | I_rel |
| --- | --- |
| 10.56 | 61.8 |
| 22.24 | 13.1 |
| 25.10 | 27.4 |
| 27.30 | 28.1 |
| 28.18 | 25.1 |
| 30.92 | 100.0 |
| 38.09 | 15.2 |
| 39.36 | 22.5 |
| 48.01 | 32.1 |
| 61.17 | 16.4 |

Crystal structure
Unit cell a=9.675 b=9.675 c=7.096 alpha=90.00 beta=90.00 gamma=120.00
Element x y z (fractional)
Ca (0.333, 0.667, 0.004)
Ca (0.333, 0.667, 0.496)
Ca (0.667, 0.333, 0.504)
Ca (0.667, 0.333, 0.996)
Bi (0.011, 0.802, 0.750)
Bi (0.198, 0.208, 0.750)
Bi (0.208, 0.011, 0.250)
Bi (0.792, 0.989, 0.750)
Bi (0.802, 0.792, 0.250)
Bi (0.989, 0.198, 0.250)
P (0.032, 0.412, 0.750)
P (0.380, 0.968, 0.750)
P (0.412, 0.380, 0.250)
P (0.588, 0.620, 0.750)
P (0.620, 0.032, 0.250)
P (0.968, 0.588, 0.250)
O (0.086, 0.349, 0.575)
O (0.086, 0.349, 0.925)
O (0.134, 0.596, 0.750)
O (0.148, 0.650, 0.250)
O (0.263, 0.914, 0.575)
O (0.263, 0.914, 0.925)
O (0.349, 0.263, 0.075)
O (0.349, 0.263, 0.425)
O (0.350, 0.498, 0.250)
O (0.404, 0.537, 0.750)
O (0.463, 0.866, 0.750)
O (0.498, 0.148, 0.750)
O (0.502, 0.852, 0.250)
O (0.537, 0.134, 0.250)
O (0.596, 0.463, 0.250)
O (0.650, 0.502, 0.750)
O (0.651, 0.737, 0.575)
O (0.651, 0.737, 0.925)
O (0.737, 0.086, 0.075)
O (0.737, 0.086, 0.425)
O (0.852, 0.350, 0.750)
O (0.866, 0.404, 0.250)
O (0.914, 0.651, 0.075)
O (0.914, 0.651, 0.425)